No. 1
# MnHg
Theoretical X-ray diffraction stick pattern, λ = 1.5418 Å (Cu Kα). Input: a cell relaxed with PBE.

Top 8 peaks for 2θ from 10° to 80°, by intensity:
d 2.329, 38.7 deg, I = 100.0
d 2.218, 40.7 deg, I = 52.4
d 2.362, 38.1 deg, I = 38.1
d 2.677, 33.5 deg, I = 36.6
d 2.590, 34.6 deg, I = 27.9
d 4.003, 22.2 deg, I = 26.0
d 1.771, 51.6 deg, I = 21.7
d 3.769, 23.6 deg, I = 19.8

Cell and atoms:
a = 4.724 Å, b = 3.164 Å, c = 15.074 Å
α = 90.00°, β = 90.00°, γ = 90.00°
Space group Amm2 (No. 38)
One atom of each set of equivalent atoms:
1 Mn 0.000 0.000 0.000 [2 per cell]
2 Mn 0.000 0.000 0.346 [2 per cell]
3 Mn 0.500 0.000 0.551 [2 per cell]
4 Hg 0.000 0.000 0.657 [2 per cell]
5 Hg 0.500 0.000 0.224 [2 per cell]
6 Hg 0.500 0.000 0.897 [2 per cell]

***

No. 2
# GaBiPd3
Theoretical X-ray diffraction stick pattern, λ = 1.5418 Å (Cu Kα). Input: a cell relaxed with PBE.

Top 8 peaks for 2θ from 10° to 80°, by intensity:
d 2.371, 37.9 deg, I = 100.0
d 2.328, 38.7 deg, I = 76.5
d 2.470, 36.4 deg, I = 60.3
d 2.119, 42.7 deg, I = 46.8
d 2.348, 38.3 deg, I = 42.5
d 2.768, 32.3 deg, I = 33.2
d 2.484, 36.2 deg, I = 32.3
d 2.561, 35.0 deg, I = 31.7

Cell and atoms:
a = 14.803 Å, b = 4.657 Å, c = 5.536 Å
α = 90.00°, β = 111.45°, γ = 90.00°
Space group C2/m (No. 12)
One atom of each set of equivalent atoms:
1 Ga 0.188 0.000 0.126 [4 per cell]
2 Bi 0.087 0.500 0.339 [4 per cell]
3 Pd 0.021 0.000 0.767 [4 per cell]
4 Pd 0.143 0.500 0.885 [4 per cell]
5 Pd 0.201 0.000 0.620 [4 per cell]